[1]
Pm4Dy6Er19: computed X-ray diffraction stick pattern (Cu Kα), based on the GGA-PBE geometry in Alexandria.

Structural model:
```
data_Pm4Dy6Er19
_cell_length_a 12.3915
_cell_length_b 12.3915
_cell_length_c 12.3915
_cell_angle_alpha 90.00
_cell_angle_beta 90.00
_cell_angle_gamma 90.00
_space_group_name_H-M_alt 'I 2 3'
_space_group_IT_number 197
_space_group_name_Hall 'I 2 2 3'
loop_
_atom_site_label
_atom_site_type_symbol
_atom_site_fract_x
_atom_site_fract_y
_atom_site_fract_z
Pm1 Pm 0.1794 0.1794 0.8206
Dy1 Dy 0.0000 0.3732 0.5000
Er1 Er 0.0000 0.0000 0.0000
Er2 Er 0.0000 0.0000 0.2613
Er3 Er 0.0626 0.2629 0.2767
```

Top 10 peaks for 2θ from 15° to 90°, by intensity:
| d [Å] | Position (°2θ) | I_rel | (hkl) |
| --- | --- | --- | --- |
| 2.921 | 30.61 | 1000 | 4 1 1 |
| 2.430 | 36.99 | 743 | 4 1 3 |
| 3.098 | 28.82 | 637 | 4 0 0 |
| 3.312 | 26.92 | 496 | 3 1 2 |
| 2.529 | 35.49 | 443 | 4 2 2 |
| 1.525 | 60.72 | 296 | 7 1 4 |
| 1.686 | 54.41 | 259 | 6 3 3 |
| 1.503 | 61.73 | 216 | 8 0 2 |
| 2.125 | 42.54 | 210 | 4 3 3 |
| 1.752 | 52.20 | 179 | 5 3 4 |



[2]
Pm3Dy4Er2: computed X-ray diffraction stick pattern (Cu Kα), based on the GGA-PBE geometry in Alexandria.

Structural model:
```
data_Pm3Dy4Er2
_cell_length_a 6.1713
_cell_length_b 6.1823
_cell_length_c 9.4351
_cell_angle_alpha 109.01
_cell_angle_beta 90.01
_cell_angle_gamma 119.89
_space_group_name_H-M_alt 'P -1'
_space_group_IT_number 2
loop_
_space_group_symop_operation_xyz
'x,y,z'
'-x,-y,-z'
loop_
_atom_site_label
_atom_site_type_symbol
_atom_site_fract_x
_atom_site_fract_y
_atom_site_fract_z
Pm1 Pm 0.0000 0.0000 0.0000
Pm2 Pm 0.1120 0.5562 0.3338
Dy1 Dy 0.2228 0.1126 0.6668
Dy2 Dy 0.3346 0.6678 0.0002
Er1 Er 0.4451 0.2229 0.3339
```

Top 10 peaks for 2θ from 15° to 90°, by intensity:
| d [Å] | Position (°2θ) | I_rel | (hkl) |
| --- | --- | --- | --- |
| 2.914 | 30.68 | 1000 | 0 0 3 |
| 2.521 | 35.62 | 337 | 1 -2 3 |
| 1.521 | 60.90 | 214 | 3 0 2 |
| 1.786 | 51.15 | 181 | 2 -1 4 |
| 1.783 | 51.24 | 180 | 3 0 -1 |
| 2.529 | 35.50 | 170 | 1 1 1 |
| 1.524 | 60.75 | 108 | 1 1 4 |
| 1.520 | 60.97 | 107 | 3 0 -4 |
| 1.157 | 83.54 | 104 | 5 -1 0 |
| 1.458 | 63.87 | 93 | 0 0 6 |



[3]
Pm7Dy16Er6: computed X-ray diffraction stick pattern (Cu Kα), based on the GGA-PBE geometry in Alexandria.

Structural model:
```
data_Pm7Dy16Er6
_cell_length_a 15.7913
_cell_length_b 15.7913
_cell_length_c 15.7913
_cell_angle_alpha 90.00
_cell_angle_beta 90.00
_cell_angle_gamma 90.00
_space_group_name_H-M_alt 'F m -3 m'
_space_group_IT_number 225
_space_group_name_Hall '-F 4 2 3'
loop_
_atom_site_label
_atom_site_type_symbol
_atom_site_fract_x
_atom_site_fract_y
_atom_site_fract_z
Pm1 Pm 0.0000 0.0000 0.0000
Pm2 Pm 0.0000 0.2500 0.2500
Dy1 Dy 0.1269 0.1269 0.1269
Dy2 Dy 0.1501 0.1501 0.3499
Er1 Er 0.0000 0.0000 0.2626
```

Top 10 peaks for 2θ from 15° to 90°, by intensity:
| d [Å] | Position (°2θ) | I_rel | (hkl) |
| --- | --- | --- | --- |
| 2.792 | 32.06 | 1000 | 4 4 0 |
| 1.612 | 57.15 | 275 | 8 4 4 |
| 1.974 | 45.98 | 144 | 8 0 0 |
| 1.248 | 76.27 | 78 | 12 4 0 |
| 3.039 | 29.39 | 78 | 3 3 3 |
| 1.396 | 67.05 | 77 | 8 8 0 |
| 3.531 | 25.22 | 60 | 4 2 0 |
| 3.223 | 27.67 | 60 | 4 2 2 |
| 2.669 | 33.57 | 54 | 5 3 1 |
| 2.497 | 35.97 | 51 | 6 2 0 |



[4]
PmDy6Er6: computed X-ray diffraction stick pattern (Cu Kα), based on the GGA-PBE geometry in Alexandria.

Structural model:
```
data_PmDy6Er6
_cell_length_a 6.6089
_cell_length_b 6.6089
_cell_length_c 11.3588
_cell_angle_alpha 90.00
_cell_angle_beta 90.00
_cell_angle_gamma 120.00
_space_group_name_H-M_alt 'P 6/m m m'
_space_group_IT_number 191
_space_group_name_Hall '-P 6 2'
loop_
_atom_site_label
_atom_site_type_symbol
_atom_site_fract_x
_atom_site_fract_y
_atom_site_fract_z
Pm1 Pm 0.0000 0.0000 0.0000
Dy1 Dy 0.0000 0.0000 0.3479
Dy2 Dy 0.3333 0.6667 0.0000
Dy3 Dy 0.3333 0.6667 0.5000
Er1 Er 0.0000 0.5000 0.2442
```

Top 10 peaks for 2θ from 15° to 90°, by intensity:
| d [Å] | Position (°2θ) | I_rel | (hkl) |
| --- | --- | --- | --- |
| 2.858 | 31.29 | 1000 | 2 0 0 |
| 2.556 | 35.11 | 711 | 2 0 2 |
| 3.304 | 26.98 | 265 | 1 1 0 |
| 1.652 | 55.63 | 262 | 2 2 0 |
| 2.544 | 35.28 | 244 | 1 0 4 |
| 2.840 | 31.50 | 227 | 0 0 4 |
| 1.643 | 55.98 | 223 | 1 1 6 |
| 3.158 | 28.26 | 188 | 1 0 3 |
| 1.428 | 65.34 | 169 | 2 2 4 |
| 1.809 | 50.46 | 162 | 3 0 2 |



[5]
Pm4Dy10Er: computed X-ray diffraction stick pattern (Cu Kα), based on the GGA-PBE geometry in Alexandria.

Structural model:
```
data_Pm4Dy10Er
_cell_length_a 9.7480
_cell_length_b 9.7480
_cell_length_c 11.4919
_cell_angle_alpha 90.00
_cell_angle_beta 90.00
_cell_angle_gamma 90.00
_space_group_name_H-M_alt 'I 4/m'
_space_group_IT_number 87
_space_group_name_Hall '-I 4'
loop_
_atom_site_label
_atom_site_type_symbol
_atom_site_fract_x
_atom_site_fract_y
_atom_site_fract_z
Pm1 Pm 0.0705 0.6745 0.0000
Dy1 Dy 0.0000 0.5000 0.2500
Dy2 Dy 0.1177 0.7723 0.3389
Er1 Er 0.0000 0.0000 0.5000
```

Top 10 peaks for 2θ from 15° to 90°, by intensity:
| d [Å] | Position (°2θ) | I_rel | (hkl) |
| --- | --- | --- | --- |
| 2.878 | 31.08 | 1000 | 1 2 3 |
| 3.083 | 28.97 | 604 | 1 3 0 |
| 2.716 | 32.97 | 426 | 1 3 2 |
| 2.476 | 36.29 | 216 | 2 0 4 |
| 2.632 | 34.07 | 214 | 3 2 1 |
| 1.627 | 56.57 | 206 | 3 1 6 |
| 2.180 | 41.42 | 206 | 2 4 0 |
| 3.565 | 24.98 | 173 | 1 0 3 |
| 2.038 | 44.45 | 160 | 4 2 2 |
| 2.209 | 40.86 | 148 | 3 2 3 |



[6]
PmDy12Er2: computed X-ray diffraction stick pattern (Cu Kα), based on the GGA-PBE geometry in Alexandria.

Structural model:
```
data_PmDy12Er2
_cell_length_a 3.5525
_cell_length_b 5.5648
_cell_length_c 24.2796
_cell_angle_alpha 90.00
_cell_angle_beta 94.15
_cell_angle_gamma 90.00
_space_group_name_H-M_alt 'P 1 2/m 1'
_space_group_IT_number 10
loop_
_space_group_symop_operation_xyz
'x,y,z'
'-x,-y,-z'
'-x,y,-z'
'x,-y,z'
loop_
_atom_site_label
_atom_site_type_symbol
_atom_site_fract_x
_atom_site_fract_y
_atom_site_fract_z
Pm1 Pm 0.0000 0.0000 0.0000
Dy1 Dy 0.0694 0.0000 0.1388
Dy2 Dy 0.1004 0.5000 0.2024
Dy3 Dy 0.1664 0.5000 0.3301
Dy4 Dy 0.2155 0.0000 0.4249
Dy5 Dy 0.2749 0.5000 0.5553
Dy6 Dy 0.4630 0.5000 0.9251
Er1 Er 0.3636 0.0000 0.7279
```

Top 10 peaks for 2θ from 15° to 90°, by intensity:
| d [Å] | Position (°2θ) | I_rel | (hkl) |
| --- | --- | --- | --- |
| 2.940 | 30.40 | 1000 | 0 1 7 |
| 2.748 | 32.58 | 694 | 1 1 -4 |
| 2.782 | 32.17 | 685 | 0 2 0 |
| 2.861 | 31.27 | 455 | 1 1 -3 |
| 2.765 | 32.38 | 385 | 1 0 5 |
| 2.659 | 33.71 | 345 | 0 1 8 |
| 1.961 | 46.29 | 287 | 1 2 5 |
| 1.497 | 61.98 | 210 | 2 2 -1 |
| 1.539 | 60.12 | 205 | 1 1 13 |
| 1.520 | 60.96 | 192 | 2 1 6 |



[7]
PmDy4Er15: computed X-ray diffraction stick pattern (Cu Kα), based on the GGA-PBE geometry in Alexandria.

Structural model:
```
data_PmDy4Er15
_cell_length_a 4.9787
_cell_length_b 4.9787
_cell_length_c 24.8709
_cell_angle_alpha 90.00
_cell_angle_beta 90.00
_cell_angle_gamma 90.00
_space_group_name_H-M_alt 'P 4/m m m'
_space_group_IT_number 123
_space_group_name_Hall '-P 4 2'
loop_
_atom_site_label
_atom_site_type_symbol
_atom_site_fract_x
_atom_site_fract_y
_atom_site_fract_z
Pm1 Pm 0.0000 0.0000 0.0000
Dy1 Dy 0.0000 0.0000 0.2005
Dy2 Dy 0.0000 0.0000 0.4002
Er1 Er 0.0000 0.5000 0.1011
Er2 Er 0.0000 0.5000 0.3003
Er3 Er 0.0000 0.5000 0.5000
Er4 Er 0.5000 0.5000 0.0000
Er5 Er 0.5000 0.5000 0.2009
Er6 Er 0.5000 0.5000 0.4001
```

Top 8 peaks for 2θ from 15° to 90°, by intensity:
| d [Å] | Position (°2θ) | I_rel | (hkl) |
| --- | --- | --- | --- |
| 2.874 | 31.12 | 1000 | 1 1 5 |
| 2.489 | 36.09 | 506 | 2 0 0 |
| 1.501 | 61.82 | 427 | 3 1 5 |
| 1.760 | 51.96 | 359 | 2 2 0 |
| 1.142 | 84.93 | 179 | 3 3 5 |
| 1.113 | 87.69 | 168 | 4 2 0 |
| 1.437 | 64.90 | 123 | 2 2 10 |
| 1.244 | 76.57 | 57 | 4 0 0 |



[8]
Pm7DyEr4: computed X-ray diffraction stick pattern (Cu Kα), based on the GGA-PBE geometry in Alexandria.

Structural model:
```
data_Pm7DyEr4
_cell_length_a 6.2799
_cell_length_b 7.2404
_cell_length_c 8.9261
_cell_angle_alpha 90.00
_cell_angle_beta 76.46
_cell_angle_gamma 89.95
_space_group_name_H-M_alt 'P -1'
_space_group_IT_number 2
loop_
_space_group_symop_operation_xyz
'x,y,z'
'-x,-y,-z'
loop_
_atom_site_label
_atom_site_type_symbol
_atom_site_fract_x
_atom_site_fract_y
_atom_site_fract_z
Pm1 Pm 0.0000 0.0000 0.0000
Pm2 Pm 0.2214 0.5003 0.3347
Pm3 Pm 0.2800 0.7506 0.6652
Pm4 Pm 0.4986 0.2473 0.9986
Dy1 Dy 0.0000 0.5000 0.0000
Er1 Er 0.2198 0.0002 0.3356
Er2 Er 0.2778 0.2470 0.6666
```

Top 10 peaks for 2θ from 15° to 90°, by intensity:
| d [Å] | Position (°2θ) | I_rel | (hkl) |
| --- | --- | --- | --- |
| 2.826 | 31.66 | 1000 | 2 0 2 |
| 2.687 | 33.34 | 894 | 2 0 -1 |
| 2.893 | 30.91 | 506 | 0 0 3 |
| 1.535 | 60.28 | 455 | 3 2 4 |
| 1.811 | 50.37 | 390 | 3 2 1 |
| 3.115 | 28.66 | 364 | 1 -2 0 |
| 1.688 | 54.35 | 213 | 2 0 5 |
| 1.600 | 57.62 | 192 | 2 0 -4 |
| 3.050 | 29.28 | 166 | 1 -2 1 |
| 1.130 | 86.00 | 154 | 3 -2 7 |